For PuTlTe3Au, DFT lattice parameters and positions (GGA-PBE) gives the simulated XRD peak list in this record (Cu Kα (λ = 1.5418 Å)).
Kinematic intensities with the Lorentz-polarization factor, no thermal factor.

Main lines, most intense first (10 to 80 degrees two-theta):
2θ (°)  I (rel.)  (hkl)
31.16  100  1 3 2
27.88  80  1 3 1
31.87  44  0 0 4
11.30  43  0 2 0
41.59  31  2 0 0
38.90  26  1 5 2
48.86  25  1 3 5
38.01  23  0 6 2
53.33  21  2 0 4
36.04  19  1 3 3

Structure:
Unit cell a=4.343 b=15.664 c=11.233 alpha=90.00 beta=90.00 gamma=90.00
Space group Cmcm (No. 63)
Symmetry-distinct sites (fractional):
1 Pu 0.000 0.000 0.000 x4
2 Tl 0.000 0.234 0.250 x4
3 Te 0.000 0.080 0.750 x4
4 Te 0.000 0.364 0.549 x8
5 Au 0.000 0.466 0.750 x4

***

For Pu2Th2Au3, DFT lattice parameters and positions (GGA-PBE) gives the simulated XRD peak list in this record (Cu Kα (λ = 1.5418 Å)).
Kinematic intensities with the Lorentz-polarization factor, no thermal factor.

Main lines, most intense first (10 to 80 degrees two-theta):
2θ (°)  I (rel.)  (hkl)
35.59  100  0 8 1
33.15  68  1 7 0
60.87  25  1 15 1
62.48  23  1 7 2
31.38  18  0 6 1
63.41  17  2 8 1
50.61  12  2 0 0
51.33  11  0 0 2
44.42  11  0 14 0
36.70  8  1 3 1

Structure:
Unit cell a=3.607 b=28.552 c=3.560 alpha=90.00 beta=90.00 gamma=90.00
Space group Cmmm (No. 65)
Symmetry-distinct sites (fractional):
1 Pu 0.000 0.202 0.000 x4
2 Th 0.000 0.070 0.000 x4
3 Au 0.000 0.361 0.500 x4
4 Au 0.000 0.500 0.500 x2

***

For Pu2ThAu6, DFT lattice parameters and positions (GGA-PBE) gives the simulated XRD peak list in this record (Cu Kα (λ = 1.5418 Å)).
Kinematic intensities with the Lorentz-polarization factor, no thermal factor.

Main lines, most intense first (10 to 80 degrees two-theta):
2θ (°)  I (rel.)  (hkl)
34.72  100  1 1 3
37.07  90  3 0 0
65.30  33  4 1 3
51.69  33  2 2 3
69.20  30  3 0 6
66.81  17  3 3 0
78.95  11  6 0 0
56.13  9  0 0 6
46.59  7  3 0 3
27.21  5  0 0 3

Structure:
Unit cell a=8.4015 b=8.4015 c=9.8311 alpha=90.00 beta=90.00 gamma=120.00
Space group R-3m (No. 166, hexagonal axes)
Symmetry-distinct sites (fractional):
1 Pu 0.0000 0.0000 0.1630 x6
2 Th 0.0000 0.0000 0.5000 x3
3 Au 0.0002 0.3333 0.3333 x18